1.
This entry pairs a crystal structure of KHfMg2Nb with its calculated powder diffraction line list. Radiation: Cu Ka. Structure: DFT lattice parameters and positions (PBE).
Peak positions follow from Bragg's law for the DFT cell and can differ from measured ones.

Top 8 peaks for 10 to 90 degrees two-theta, in order of falling intensity:
d = 2.832 Å, I = 100
d = 3.455 Å, I = 72
d = 2.443 Å, I = 55
d = 4.944 Å, I = 39
d = 1.738 Å, I = 38
d = 2.010 Å, I = 32
d = 3.475 Å, I = 31
d = 2.472 Å, I = 28

Atomic structure:
```
KHfMg2Nb
1.0
4.8867 0.0000 0.0000
0.0000 4.8867 0.0000
0.0000 0.0000 4.9436
K Hf Mg Nb
1 1 2 1
Cartesian
0.0000 0.0000 0.0000 K
2.4433 2.4433 2.4718 Hf
0.0000 2.4433 0.0000 Mg
2.4433 0.0000 0.0000 Mg
0.0000 0.0000 2.4718 Nb
```

=====

2.
This entry pairs a crystal structure of ZnIn2S4 with its calculated powder diffraction line list. Radiation: Cu Ka. Structure: DFT lattice parameters and positions (PBE).
Peak positions follow from Bragg's law for the DFT cell and can differ from measured ones.

Top 8 peaks for 10 to 90 degrees two-theta, in order of falling intensity:
d = 4.202 Å, I = 100
d = 3.149 Å, I = 87
d = 1.961 Å, I = 76
d = 3.279 Å, I = 64
d = 3.366 Å, I = 61
d = 1.777 Å, I = 53
d = 2.817 Å, I = 45
d = 2.161 Å, I = 42

Atomic structure:
```
ZnIn2S4
1.0
3.9214 0.0000 0.0000
-1.9607 3.3960 0.0000
0.0000 0.0000 25.2146
Zn In S
2 4 8
Cartesian
0.0000 0.0000 0.0000 Zn
0.0000 0.0000 12.6073 Zn
0.0000 2.2640 4.6827 In
0.0000 2.2640 21.2988 In
1.9607 1.1320 8.6916 In
1.9607 1.1320 17.2899 In
0.0000 0.0000 3.5994 S
0.0000 0.0000 9.9438 S
0.0000 0.0000 16.2067 S
0.0000 0.0000 22.5510 S
0.0000 2.2640 0.5009 S
0.0000 2.2640 7.1404 S
1.9607 1.1320 13.1081 S
1.9607 1.1320 19.7477 S
```

=====

3.
This entry pairs a crystal structure of CuAgAsS4 with its calculated powder diffraction line list. Radiation: Cu Ka. Structure: DFT lattice parameters and positions (PBE).
Peak positions follow from Bragg's law for the DFT cell and can differ from measured ones.

Top 8 peaks for 10 to 90 degrees two-theta, in order of falling intensity:
d = 3.108 Å, I = 100
d = 4.996 Å, I = 37
d = 1.824 Å, I = 34
d = 1.739 Å, I = 32
d = 2.098 Å, I = 26
d = 4.197 Å, I = 13
d = 1.151 Å, I = 12
d = 2.551 Å, I = 11

Atomic structure:
```
CuAgAsS4
1.0
5.9352 0.0000 0.0000
0.0000 5.9352 0.0000
0.0000 0.0000 9.2532
Cu Ag As S
2 2 2 8
Cartesian
0.0000 0.0000 0.0000 Cu
2.9676 2.9676 4.6266 Cu
0.0000 0.0000 4.6266 Ag
2.9676 2.9676 0.0000 Ag
0.0000 2.9676 2.3133 As
2.9676 0.0000 6.9399 As
1.2323 1.5239 1.1629 S
1.4437 4.1999 3.4637 S
1.5239 4.7029 8.0903 S
1.7353 1.4437 5.7895 S
4.1999 4.4915 5.7895 S
4.4113 1.2323 8.0903 S
4.4915 1.7353 3.4637 S
4.7029 4.4113 1.1629 S
```

=====

4.
This entry pairs a crystal structure of CaTaRu with its calculated powder diffraction line list. Radiation: Cu Ka. Structure: DFT lattice parameters and positions (PBE).
Peak positions follow from Bragg's law for the DFT cell and can differ from measured ones.

Top 8 peaks for 10 to 90 degrees two-theta, in order of falling intensity:
d = 6.517 Å, I = 100
d = 2.328 Å, I = 29
d = 2.709 Å, I = 19
d = 2.214 Å, I = 16
d = 2.409 Å, I = 14
d = 3.136 Å, I = 13
d = 2.731 Å, I = 11
d = 3.259 Å, I = 10

Atomic structure:
```
CaTaRu
1.0
6.1350 0.0000 0.0000
0.0000 7.1555 0.0000
-0.2656 0.0000 6.5174
Ca Ta Ru
4 4 4
Cartesian
1.4118 0.0000 2.4204 Ca
1.3902 3.5777 4.0970 Ca
4.4793 3.5777 2.4204 Ca
4.4576 0.0000 4.0970 Ca
0.0000 2.0468 0.0000 Ta
0.0000 5.1087 0.0000 Ta
3.0675 1.5310 0.0000 Ta
3.0675 5.6245 0.0000 Ta
1.0184 0.0000 5.5751 Ru
1.7836 3.5777 0.9423 Ru
4.0858 3.5777 5.5751 Ru
4.8511 0.0000 0.9423 Ru
```

=====

5.
This entry pairs a crystal structure of CsHg2Te4As with its calculated powder diffraction line list. Radiation: Cu Ka. Structure: DFT lattice parameters and positions (PBE).
Peak positions follow from Bragg's law for the DFT cell and can differ from measured ones.

Top 8 peaks for 10 to 90 degrees two-theta, in order of falling intensity:
d = 3.759 Å, I = 100
d = 2.878 Å, I = 75
d = 3.668 Å, I = 60
d = 3.121 Å, I = 47
d = 6.823 Å, I = 43
d = 1.929 Å, I = 42
d = 2.489 Å, I = 30
d = 2.279 Å, I = 25

Atomic structure:
```
CsHg2Te4As
1.0
7.2851 0.0000 0.0000
0.0000 9.3954 0.0000
0.0000 0.0000 9.9252
Cs Hg Te As
2 4 8 2
Cartesian
0.0000 0.0000 0.0000 Cs
3.6425 4.6977 4.9626 Cs
0.0000 4.6977 1.6579 Hg
0.0000 4.6977 8.2673 Hg
3.6425 0.0000 3.3047 Hg
3.6425 0.0000 6.6205 Hg
1.5454 1.6857 3.3252 Te
1.5454 7.7097 6.6000 Te
2.0971 3.0120 8.2878 Te
2.0971 6.3834 1.6374 Te
5.1879 3.0120 1.6374 Te
5.1879 6.3834 8.2878 Te
5.7397 1.6857 6.6000 Te
5.7397 7.7097 3.3252 Te
0.0000 0.0000 4.9626 As
3.6425 4.6977 0.0000 As
```

=====

6.
This entry pairs a crystal structure of Tl3In5Pb4 with its calculated powder diffraction line list. Radiation: Cu Ka. Structure: DFT lattice parameters and positions (PBE).
Peak positions follow from Bragg's law for the DFT cell and can differ from measured ones.

Top 8 peaks for 10 to 90 degrees two-theta, in order of falling intensity:
d = 2.848 Å, I = 100
d = 2.551 Å, I = 74
d = 2.822 Å, I = 49
d = 2.805 Å, I = 48
d = 2.282 Å, I = 27
d = 1.523 Å, I = 15
d = 1.515 Å, I = 15
d = 1.810 Å, I = 13

Atomic structure:
```
Tl3In5Pb4
1.0
6.7865 0.0000 0.0000
2.6294 6.8633 0.0000
1.5605 1.6958 7.6549
Tl In Pb
3 5 4
Cartesian
0.0000 0.0000 0.0000 Tl
2.9739 3.3688 0.0252 Tl
8.0025 5.1903 7.6296 Tl
1.4968 1.7201 2.6049 In
3.0236 3.4371 5.0537 In
3.3933 0.0000 0.0000 In
7.9529 5.1220 2.6011 In
9.4796 6.8390 5.0500 In
4.5408 5.1807 2.5697 Pb
6.0927 6.8643 5.0893 Pb
4.8837 1.6948 2.5655 Pb
6.4356 3.3784 5.0852 Pb
```

=====

7.
This entry pairs a crystal structure of Ce4Al16Ni4C3 with its calculated powder diffraction line list. Radiation: Cu Ka. Structure: DFT lattice parameters and positions (PBE).
Peak positions follow from Bragg's law for the DFT cell and can differ from measured ones.

Top 8 peaks for 10 to 90 degrees two-theta, in order of falling intensity:
d = 2.588 Å, I = 100
d = 2.772 Å, I = 90
d = 5.526 Å, I = 83
d = 3.843 Å, I = 71
d = 2.380 Å, I = 56
d = 2.505 Å, I = 49
d = 1.940 Å, I = 44
d = 2.274 Å, I = 39

Atomic structure:
```
Ce4Al16Ni4C3
1.0
3.5886 0.0000 0.0000
0.0000 7.6859 0.0000
0.0000 0.0000 15.9004
Ce Al Ni C
4 16 4 3
Cartesian
0.0000 0.0000 0.0000 Ce
0.0000 3.8429 3.5292 Ce
1.7943 0.0000 7.8394 Ce
1.7943 3.8429 11.4513 Ce
0.0000 0.0000 3.0719 Al
0.0000 1.4796 12.6998 Al
0.0000 1.7899 9.6903 Al
0.0000 2.3353 6.7349 Al
0.0000 3.8429 0.4462 Al
0.0000 5.3506 6.7349 Al
0.0000 5.8960 9.6903 Al
0.0000 6.2063 12.6998 Al
1.7943 0.0000 10.9966 Al
1.7943 1.5344 4.7943 Al
1.7943 1.9234 1.7987 Al
1.7943 2.3237 14.6147 Al
1.7943 3.8429 8.4539 Al
1.7943 5.3622 14.6147 Al
1.7943 5.7625 1.7987 Al
1.7943 6.1515 4.7943 Al
0.0000 0.0000 5.4971 Ni
0.0000 3.8429 13.9145 Ni
1.7943 0.0000 13.4439 Ni
1.7943 3.8429 6.0702 Ni
0.0000 3.8429 9.6831 C
1.7943 0.0000 1.8245 C
1.7943 3.8429 1.6743 C
```

=====

8.
This entry pairs a crystal structure of La3NdTm8 with its calculated powder diffraction line list. Radiation: Cu Ka. Structure: DFT lattice parameters and positions (PBE).
Peak positions follow from Bragg's law for the DFT cell and can differ from measured ones.

Top 8 peaks for 10 to 90 degrees two-theta, in order of falling intensity:
d = 2.753 Å, I = 100
d = 2.843 Å, I = 24
d = 3.146 Å, I = 24
d = 1.624 Å, I = 21
d = 2.109 Å, I = 16
d = 1.530 Å, I = 15
d = 1.814 Å, I = 13
d = 1.518 Å, I = 11

Atomic structure:
```
La3NdTm8
1.0
-5.4609 5.6864 3.1393
5.4609 -5.6864 3.1393
5.4609 5.6864 -3.1393
La Nd Tm
3 1 8
Cartesian
0.0000 0.0000 0.0000 La
5.4609 2.8444 0.9890 La
0.0000 2.8420 4.1283 La
0.0000 5.6864 0.0072 Nd
1.8455 2.8531 1.0319 Tm
3.6154 -2.8334 4.1711 Tm
3.6050 5.6864 -0.0375 Tm
1.8559 0.0000 3.1017 Tm
1.8455 8.5198 1.0319 Tm
3.6154 2.8334 4.1711 Tm
-1.8371 5.6864 3.1004 Tm
1.8371 5.6864 3.1004 Tm
```

=====

9.
This entry pairs a crystal structure of HoZr2 with its calculated powder diffraction line list. Radiation: Cu Ka. Structure: DFT lattice parameters and positions (PBE).
Peak positions follow from Bragg's law for the DFT cell and can differ from measured ones.

Top 8 peaks for 10 to 90 degrees two-theta, in order of falling intensity:
d = 2.468 Å, I = 100
d = 2.595 Å, I = 96
d = 2.857 Å, I = 59
d = 2.669 Å, I = 48
d = 1.410 Å, I = 26
d = 1.844 Å, I = 24
d = 1.660 Å, I = 23
d = 1.474 Å, I = 22

Atomic structure:
```
HoZr2
1.0
5.7452 0.0000 0.0000
0.0000 3.3275 0.0000
-1.9177 0.0000 8.0080
Ho Zr
2 4
Cartesian
0.0000 0.0000 0.0000 Ho
2.8726 1.6638 0.0000 Ho
0.0133 0.0000 5.2383 Zr
0.9416 1.6638 2.7697 Zr
2.8859 1.6638 5.2383 Zr
3.8142 0.0000 2.7697 Zr
```

=====

10.
This entry pairs a crystal structure of PtF5 with its calculated powder diffraction line list. Radiation: Cu Ka. Structure: DFT lattice parameters and positions (PBE).
Peak positions follow from Bragg's law for the DFT cell and can differ from measured ones.

Top 8 peaks for 10 to 90 degrees two-theta, in order of falling intensity:
d = 4.665 Å, I = 100
d = 4.639 Å, I = 49
d = 3.384 Å, I = 44
d = 3.015 Å, I = 33
d = 2.528 Å, I = 28
d = 2.110 Å, I = 22
d = 2.683 Å, I = 19
d = 1.693 Å, I = 17

Atomic structure:
```
PtF5
1.0
4.9856 -2.6986 0.0000
4.9856 2.6986 0.0000
-2.6633 0.0000 6.7631
Pt F
2 10
Cartesian
0.0000 0.0000 0.0000 Pt
-1.3317 0.0000 3.3816 Pt
0.1726 0.7090 4.3155 F
2.9881 1.8404 5.0724 F
4.0111 1.0905 0.3269 F
1.5043 -0.7090 0.9340 F
4.6284 1.0905 3.0546 F
2.6795 -1.0905 3.7085 F
5.8036 0.7090 5.8292 F
3.2968 -1.0905 6.4362 F
4.3198 -1.8404 1.6908 F
7.1353 -0.7090 2.4476 F
```

=====

11.
This entry pairs a crystal structure of Pr4ScCd with its calculated powder diffraction line list. Radiation: Cu Ka. Structure: DFT lattice parameters and positions (PBE).
Peak positions follow from Bragg's law for the DFT cell and can differ from measured ones.

Top 8 peaks for 10 to 90 degrees two-theta, in order of falling intensity:
d = 2.896 Å, I = 100
d = 2.615 Å, I = 39
d = 1.558 Å, I = 30
d = 1.739 Å, I = 20
d = 1.849 Å, I = 14
d = 2.329 Å, I = 12
d = 1.448 Å, I = 11
d = 1.432 Å, I = 9

Atomic structure:
```
Pr4ScCd
1.0
3.6975 0.0000 0.0000
0.0000 3.6975 0.0000
0.0000 0.0000 13.9763
Pr Sc Cd
4 1 1
Cartesian
0.0000 0.0000 2.1299 Pr
0.0000 0.0000 11.8464 Pr
1.8488 1.8488 4.7135 Pr
1.8488 1.8488 9.2628 Pr
0.0000 0.0000 6.9882 Sc
1.8488 1.8488 0.0000 Cd
```

=====

12.
This entry pairs a crystal structure of Cs2In3Hg9 with its calculated powder diffraction line list. Radiation: Cu Ka. Structure: DFT lattice parameters and positions (PBE).
Peak positions follow from Bragg's law for the DFT cell and can differ from measured ones.

Top 8 peaks for 10 to 90 degrees two-theta, in order of falling intensity:
d = 2.689 Å, I = 100
d = 2.980 Å, I = 68
d = 3.064 Å, I = 67
d = 2.934 Å, I = 65
d = 2.728 Å, I = 50
d = 2.466 Å, I = 48
d = 2.421 Å, I = 46
d = 2.917 Å, I = 38

Atomic structure:
```
Cs2In3Hg9
1.0
8.1947 -4.6351 0.0000
8.1947 4.6351 0.0000
-6.0553 0.0000 11.6671
Cs In Hg
4 6 18
Cartesian
1.2999 0.7858 2.8899 Cs
-1.7278 -0.7858 8.7235 Cs
12.0618 0.7858 2.9437 Cs
9.0342 -0.7858 8.7772 Cs
4.0973 2.3175 0.0000 In
3.8066 2.3209 5.8740 In
3.4997 2.3209 11.6268 In
1.0697 -2.3175 5.8336 In
6.8343 -2.3209 0.0404 In
6.5274 -2.3209 5.7932 In
6.7626 3.8768 0.8428 Hg
6.5991 3.8768 4.9908 Hg
1.0544 0.7784 6.6107 Hg
5.0201 1.6880 3.0001 Hg
0.7593 0.7962 11.2992 Hg
4.0821 -0.7784 0.7772 Hg
3.6532 1.1086 8.7504 Hg
8.3416 1.6880 2.8334 Hg
3.7870 -0.7962 5.4656 Hg
6.5471 0.7962 6.2016 Hg
1.9925 -1.6880 8.8337 Hg
6.6809 -1.1086 2.9168 Hg
6.2520 0.7784 10.8900 Hg
9.5747 -0.7962 0.3680 Hg
5.3139 -1.6880 8.6670 Hg
9.2797 -0.7784 5.0564 Hg
3.7349 -3.8768 6.6763 Hg
3.5715 -3.8768 10.8244 Hg
```